Starting from a DFT-relaxed cell (PBE, Alexandria), the XRD peak list of La2Bi2O was calculated for Cu Kα (weighted mean of Kα1 and Kα2).

Structure:
a b c (Å): 4.3213 17.1176 8.3219
angles (deg): 90.00 90.00 90.00
Space group Cmc2_1 (No. 36)
Asymmetric unit:
La 0.0000 0.0457 0.0000 [4 per cell]
La 0.0000 0.3514 0.8210 [4 per cell]
Bi 0.0000 0.3004 0.4277 [4 per cell]
Bi 0.0000 0.4320 0.1879 [4 per cell]
O 0.0000 0.0998 0.2604 [4 per cell]

Most intense lines, 2θ from 10° to 80°, sorted by position:
2θ (°)  intensity
21.2  32
23.8  62
25.9  61
28.0  100
30.3  55
33.2  53
33.8  59
34.0  44
35.1  54
40.0  33
41.8  57
54.4  29

---

Starting from a DFT-relaxed cell (PBE, Alexandria), the XRD peak list of La2BiO was calculated for Cu Kα (weighted mean of Kα1 and Kα2).

Structure:
a b c (Å): 4.9683 19.2614 4.5383
angles (deg): 90.00 90.00 90.00
Space group Cmmm (No. 65)
Asymmetric unit:
La 0.0000 0.0000 0.0000 [2 per cell]
La 0.0000 0.1729 0.5000 [4 per cell]
La 0.0000 0.5000 0.5000 [2 per cell]
Bi 0.0000 0.3511 0.0000 [4 per cell]
O 0.0000 0.0633 0.5000 [4 per cell]

Most intense lines, 2θ from 10° to 80°, sorted by position:
2θ (°)  intensity
27.0  7
27.8  25
30.1  100
36.2  18
39.7  14
46.2  14
49.2  11
50.6  17
54.8  11
61.3  14
62.5  11
66.2  11

---

Starting from a DFT-relaxed cell (PBE, Alexandria), the XRD peak list of La2Bi2O7 was calculated for Cu Kα (weighted mean of Kα1 and Kα2).

Structure:
a b c (Å): 11.2578 11.2578 11.2578
angles (deg): 90.00 90.00 90.00
Space group Fd-3m (No. 227, origin choice 2)
Asymmetric unit:
La 0.0000 0.0000 0.0000 [16 per cell]
Bi 0.0000 0.0000 0.5000 [16 per cell]
O 0.0931 0.3750 0.8750 [48 per cell]
O 0.1250 0.1250 0.1250 [8 per cell]

Most intense lines, 2θ from 10° to 80°, sorted by position:
2θ (°)  intensity
13.6  5
26.3  5
27.4  100
31.8  36
41.7  2
45.6  49
54.0  47
56.6  11
63.5  2
66.4  8
73.3  19
75.5  15